This entry pairs a crystal structure of PrNd12Sm2 with its computed X-ray diffraction stick pattern. Radiation: Cu Kα (weighted mean of Kα1 and Kα2). Structure: a structure optimized by DFT (PBE).

Structural model:
Cell lengths 7.239, 11.707, 25.239 Å; angles 90.00, 90.00, 90.00 degrees
Space group Cmme (No. 67)
Symmetry-distinct sites (fractional):
1 Pr 0.000 0.250 0.001 x4
2 Nd 0.000 0.003 0.924 x8
3 Nd 0.000 0.025 0.440 x8
4 Nd 0.230 0.250 0.583 x8
5 Nd 0.248 0.250 0.130 x8
6 Nd 0.250 0.000 0.200 x8
7 Nd 0.250 0.000 0.326 x8
8 Sm 0.000 0.250 0.273 x4
9 Sm 0.000 0.250 0.732 x4

Top 12 peaks for 2θ from 15° to 90°, in order of falling intensity:
2θ (°)  I (rel.)
29.9  1000
30.5  986
29.1  741
32.2  721
32.4  598
36.2  524
57.0  327
30.9  318
28.4  304
60.1  277
46.9  277
55.4  264

***

This entry pairs a crystal structure of PmCu2I8 with its computed X-ray diffraction stick pattern. Radiation: Cu Kα (weighted mean of Kα1 and Kα2). Structure: a structure optimized by DFT (PBE).

Structural model:
Cell lengths 7.934, 7.934, 13.106 Å; angles 90.00, 90.00, 90.00 degrees
Space group I422 (No. 97)
Symmetry-distinct sites (fractional):
1 Pm 0.000 0.000 0.000 x2
2 Cu 0.000 0.500 0.250 x4
3 I 0.172 0.319 0.885 x16

Top 12 peaks for 2θ from 15° to 90°, in order of falling intensity:
2θ (°)  I (rel.)
26.0  1000
32.5  871
35.5  695
51.9  313
47.8  277
31.9  257
20.8  245
55.5  231
27.2  220
56.7  209
35.8  177
38.4  176

***

This entry pairs a crystal structure of K2BeSiO4 with its computed X-ray diffraction stick pattern. Radiation: Cu Kα (weighted mean of Kα1 and Kα2). Structure: a structure optimized by DFT (PBE).

Structural model:
Cell lengths 4.448, 11.305, 19.567 Å; angles 90.00, 90.00, 90.00 degrees
Space group Fddd (No. 70, origin choice 2)
Symmetry-distinct sites (fractional):
1 K 0.125 0.125 0.297 x16
2 Be 0.125 0.125 0.125 x8
3 Si 0.125 0.125 0.625 x8
4 O 0.123 0.296 0.832 x32

Top 12 peaks for 2θ from 15° to 90°, in order of falling intensity:
2θ (°)  I (rel.)
34.1  1000
31.7  885
25.5  617
18.1  311
47.2  306
38.9  277
49.6  185
60.1  181
64.9  161
62.9  140
74.0  140
56.4  133

***

This entry pairs a crystal structure of Cs4SrHg3F12 with its computed X-ray diffraction stick pattern. Radiation: Cu Kα (weighted mean of Kα1 and Kα2). Structure: a structure optimized by DFT (PBE).

Structural model:
Cell lengths 9.414, 9.414, 9.414 Å; angles 90.00, 90.00, 90.00 degrees
Space group Im-3m (No. 229)
Symmetry-distinct sites (fractional):
1 Cs 0.250 0.250 0.250 x8
2 Sr 0.000 0.000 0.000 x2
3 Hg 0.000 0.000 0.500 x6
4 F 0.000 0.000 0.254 x12
5 F 0.000 0.250 0.500 x12

Top 12 peaks for 2θ from 15° to 90°, in order of falling intensity:
2θ (°)  I (rel.)
26.8  1000
47.3  435
38.2  321
75.6  228
55.2  213
62.4  195
88.0  122
69.1  71
18.9  54
81.9  33
43.0  29
23.1  28